The following is a simulated powder diffraction line list of NdAl4Fe9. It was derived from a GGA-PBE-relaxed structure, using Cu Kα (weighted mean of Kα1 and Kα2).
Peak positions follow from Bragg's law for the DFT cell and can differ from measured ones.

a b c (Å): 8.162 8.162 11.672
angles (deg): 90.00 90.00 90.00
Space group I4/mcm (No. 140)
One atom of each set of equivalent atoms:
Nd 0.000 0.000 0.250 (multiplicity 4)
Al 0.185 0.315 0.124 (multiplicity 16)
Fe 0.000 0.500 0.000 (multiplicity 4)
Fe 0.060 0.202 0.500 (multiplicity 16)
Fe 0.108 0.392 0.326 (multiplicity 16)

Main lines, by angle (10 to 80 degrees two-theta):
| index | 2theta | I (rel.) |
| --- | --- | --- |
| 2 0 0 | 21.78 | 29 |
| 2 0 2 | 26.65 | 20 |
| 1 1 4 | 34.44 | 30 |
| 2 2 2 | 34.70 | 46 |
| 2 0 4 | 37.91 | 31 |
| 3 1 2 | 38.13 | 100 |
| 2 1 5 | 46.16 | 22 |
| 3 2 3 | 46.41 | 59 |
| 4 1 1 | 46.53 | 34 |
| 1 1 6 | 49.44 | 17 |
| 3 3 2 | 49.94 | 22 |
| 4 0 4 | 54.91 | 18 |